Entry 1:
This entry pairs a crystal structure of Sc2V2O7 with its theoretical XRD peak list. Radiation: Cu Ka. Structure: a DFT-relaxed cell (GGA+U, the Materials Project).
Neutral-atom scattering factors, no anomalous dispersion.

Main lines, sorted by position (2θ = 10–80°):
hkl 1 1 0, 17.29 deg, d 5.128, intensity 14
hkl 0 2 0, 19.58 deg, d 4.533, intensity 6
hkl 0 2 1, 26.29 deg, d 3.390, intensity 100
hkl 2 0 -1, 30.94 deg, d 2.890, intensity 20
hkl 2 2 0, 34.99 deg, d 2.564, intensity 8
hkl 2 0 -2, 41.65 deg, d 2.168, intensity 8
hkl 3 1 -1, 45.36 deg, d 1.999, intensity 14
hkl 1 3 2, 50.86 deg, d 1.795, intensity 21
hkl 4 0 0, 59.43 deg, d 1.555, intensity 8
hkl 3 3 -2, 60.72 deg, d 1.525, intensity 13

abc: 6.3164 9.0657 5.1930
angles: 90.00 100.03 90.00
Space group C2/m (No. 12)
Unique sites:
Sc: 0.0000 0.1860 0.0000 x4
V: 0.2464 0.0000 0.6075 x4
O: 0.0000 0.5000 0.5000 x2
O: 0.0693 0.0000 0.2702 x4
O: 0.2250 0.3296 0.1976 x8

Entry 2:
This entry pairs a crystal structure of LiVF3 with its theoretical XRD peak list. Radiation: Cu Ka. Structure: a DFT-relaxed cell (GGA+U, the Materials Project).
Neutral-atom scattering factors, no anomalous dispersion.

Main lines, sorted by position (2θ = 10–80°):
hkl 1 1 0, 20.37 deg, d 4.360, intensity 70
hkl 1 1 1, 25.01 deg, d 3.560, intensity 100
hkl 2 0 0, 28.96 deg, d 3.083, intensity 21
hkl 2 1 0, 32.47 deg, d 2.758, intensity 100
hkl 2 1 1, 35.66 deg, d 2.517, intensity 26
hkl 2 2 1, 44.06 deg, d 2.055, intensity 30
hkl 3 0 1, 46.57 deg, d 1.950, intensity 100
hkl 3 1 2, 55.78 deg, d 1.648, intensity 90
hkl 4 0 1, 62.06 deg, d 1.496, intensity 28
hkl 4 2 1, 69.91 deg, d 1.346, intensity 17

abc: 6.1664 6.1664 6.1664
angles: 90.00 90.00 90.00
Space group P2_13 (No. 198)
Unique sites:
Li: 0.1247 0.3753 0.6247 x4
V: 0.1631 0.1631 0.1631 x4
F: 0.0105 0.7264 0.6278 x12

Entry 3:
This entry pairs a crystal structure of LiMnSbO4 with its theoretical XRD peak list. Radiation: Cu Ka. Structure: a DFT-relaxed cell (GGA+U, the Materials Project).
Neutral-atom scattering factors, no anomalous dispersion.

Main lines, sorted by position (2θ = 10–80°):
hkl 1 0 0, 14.15 deg, d 6.259, intensity 59
hkl 1 1 1, 22.53 deg, d 3.946, intensity 100
hkl 1 0 2, 24.89 deg, d 3.577, intensity 49
hkl 1 1 2, 28.75 deg, d 3.106, intensity 24
hkl 2 1 1, 33.63 deg, d 2.665, intensity 94
hkl 1 0 3, 34.01 deg, d 2.636, intensity 49
hkl 2 2 0, 40.78 deg, d 2.213, intensity 22
hkl 3 1 1, 47.08 deg, d 1.930, intensity 23
hkl 3 2 1, 53.85 deg, d 1.703, intensity 31
hkl 2 2 4, 59.53 deg, d 1.553, intensity 45

abc: 6.2591 6.2591 8.7182
angles: 90.00 90.00 90.00
Space group P4_322 (No. 95)
Unique sites:
Li: 0.0000 0.2113 0.0000 x4
Mn: 0.2475 0.2475 0.6250 x4
Sb: 0.2346 0.5000 0.2500 x4
O: 0.0306 0.2650 0.2527 x8
O: 0.2728 0.4794 0.0176 x8

Entry 4:
This entry pairs a crystal structure of Rb3MnO3 with its theoretical XRD peak list. Radiation: Cu Ka. Structure: a DFT-relaxed cell (GGA+U, the Materials Project).
Neutral-atom scattering factors, no anomalous dispersion.

Main lines, sorted by position (2θ = 10–80°):
hkl 2 -1 1, 27.72 deg, d 3.218, intensity 40
hkl 0 2 2, 29.21 deg, d 3.057, intensity 38
hkl 1 1 3, 29.45 deg, d 3.033, intensity 46
hkl 0 0 4, 29.65 deg, d 3.013, intensity 100
hkl 1 -2 2, 30.33 deg, d 2.947, intensity 25
hkl 2 -2 1, 34.03 deg, d 2.635, intensity 13
hkl 2 -2 2, 36.46 deg, d 2.465, intensity 18
hkl 2 2 0, 38.97 deg, d 2.311, intensity 29
hkl 3 -1 1, 39.66 deg, d 2.273, intensity 18
hkl 4 0 2, 54.90 deg, d 1.672, intensity 18

abc: 7.0461 7.1821 12.0460
angles: 90.06 90.06 98.84
Space group P-1 (No. 2)
Unique sites:
Rb: 0.0071 0.0777 0.2278 x2
Rb: 0.0071 0.5777 0.2721 x2
Rb: 0.3431 0.1414 0.9898 x2
Rb: 0.3431 0.6414 0.5103 x2
Rb: 0.4687 0.4944 0.2105 x2
Rb: 0.4688 0.9944 0.2895 x2
Mn: 0.1566 0.1548 0.5034 x2
Mn: 0.1567 0.6547 0.9963 x2
O: 0.1041 0.4047 0.0696 x2
O: 0.1039 0.9045 0.4302 x2
O: 0.2701 0.3010 0.3831 x2
O: 0.2704 0.8012 0.1169 x2
O: 0.3003 0.2707 0.6249 x2
O: 0.3003 0.7707 0.8749 x2

> What is the formula in the first record?

Sc2V2O7